Record 1
CsK2RbAu: computed X-ray powder pattern (λ = 1.5418 Å (Cu Kα)), based on a structure optimized by DFT (GGA-PBE).
Peak positions follow from Bragg's law for the DFT cell and can differ from measured ones.

Cell and atoms:
```
data_CsK2RbAu
_symmetry_space_group_name_H-M 'P 1 21/m 1'
_symmetry_Int_Tables_number 11
_symmetry_space_group_name_Hall '-P 2yb'
_cell_length_a 9.0831
_cell_length_b 5.1730
_cell_length_c 14.4822
_cell_angle_alpha 90.00
_cell_angle_beta 98.87
_cell_angle_gamma 90.00
loop_
_atom_site_label
_atom_site_fract_x
_atom_site_fract_y
_atom_site_fract_z
Cs1 0.0917 0.2500 0.3895
K1 0.3366 0.7500 0.8160
K2 0.4919 0.2500 0.6164
Rb1 0.1840 0.7500 0.1023
Au1 0.2741 0.7500 0.5491
```

Most intense lines, 2θ = 5–70°, low angle first:
2θ (°)	I_rel	hkl
6.18	1000	0 0 1
12.37	147	0 0 2
19.81	250	1 1 0
21.20	194	0 1 2
24.23	205	1 1 2
25.06	151	2 0 -3
30.40	137	0 1 4
34.66	182	0 2 0

=====

Record 2
CsK2Rb2Au: computed X-ray powder pattern (λ = 1.5418 Å (Cu Kα)), based on a structure optimized by DFT (GGA-PBE).
Peak positions follow from Bragg's law for the DFT cell and can differ from measured ones.

Cell and atoms:
```
data_CsK2Rb2Au
_symmetry_space_group_name_H-M 'I 4/m m m'
_symmetry_Int_Tables_number 139
_symmetry_space_group_name_Hall '-I 4 2'
_cell_length_a 5.7904
_cell_length_b 5.7904
_cell_length_c 27.9906
_cell_angle_alpha 90.00
_cell_angle_beta 90.00
_cell_angle_gamma 90.00
loop_
_atom_site_label
_atom_site_fract_x
_atom_site_fract_y
_atom_site_fract_z
Cs1 0.0000 0.0000 0.0000
K1 0.0000 0.0000 0.3846
Rb1 0.0000 0.5000 0.2500
Au1 0.0000 0.0000 0.5000
```

Most intense lines, 2θ = 5–70°, low angle first:
2θ (°)	I_rel	hkl
6.32	377	0 0 2
12.65	615	0 0 4
22.63	1000	1 1 2
29.02	459	1 1 6
30.89	299	2 0 0
38.98	278	1 1 10
40.44	274	2 0 8
50.25	324	3 1 2

=====

Record 3
Cs2KRb4Au: computed X-ray powder pattern (λ = 1.5418 Å (Cu Kα)), based on a structure optimized by DFT (GGA-PBE).
Peak positions follow from Bragg's law for the DFT cell and can differ from measured ones.

Cell and atoms:
```
data_Cs2KRb4Au
_symmetry_space_group_name_H-M 'I m m 2'
_symmetry_Int_Tables_number 44
_symmetry_space_group_name_Hall 'I 2 -2'
_cell_length_a 10.0140
_cell_length_b 15.6654
_cell_length_c 17.6762
_cell_angle_alpha 90.00
_cell_angle_beta 90.00
_cell_angle_gamma 90.00
loop_
_atom_site_label
_atom_site_fract_x
_atom_site_fract_y
_atom_site_fract_z
Cs1 0.0000 0.2498 0.0000
Cs2 0.2500 0.0000 0.2499
K1 0.0000 0.2500 0.4999
Rb1 0.0000 0.1556 0.7442
Rb2 0.0000 0.3444 0.2556
Rb3 0.2411 0.0000 0.5539
Rb4 0.2410 0.5000 0.4458
Au1 0.2500 0.0000 0.7499
```

Most intense lines, 2θ = 5–70°, low angle first:
2θ (°)	I_rel	hkl
7.54	815	0 1 1
15.13	413	0 2 2
20.09	515	0 0 4
21.06	1000	2 2 0
22.72	329	0 4 0
29.27	585	2 2 4
30.70	354	2 4 2
35.87	305	4 0 0

=====

Record 4
Cs4K2Rb3Au2: computed X-ray powder pattern (λ = 1.5418 Å (Cu Kα)), based on a structure optimized by DFT (GGA-PBE).
Peak positions follow from Bragg's law for the DFT cell and can differ from measured ones.

Cell and atoms:
```
data_Cs4K2Rb3Au2
_symmetry_space_group_name_H-M 'P -3 m 1'
_symmetry_Int_Tables_number 164
_symmetry_space_group_name_Hall '-P 3 2"'
_cell_length_a 6.7464
_cell_length_b 6.7464
_cell_length_c 19.7219
_cell_angle_alpha 90.00
_cell_angle_beta 90.00
_cell_angle_gamma 120.00
loop_
_atom_site_label
_atom_site_fract_x
_atom_site_fract_y
_atom_site_fract_z
Cs1 0.3333 0.6667 0.2915
Cs2 0.3333 0.6667 0.9322
K1 0.3333 0.6667 0.5905
Rb1 0.0000 0.0000 0.1593
Rb2 0.0000 0.0000 0.5000
Au1 0.3333 0.6667 0.1126
```

Most intense lines, 2θ = 5–70°, low angle first:
2θ (°)	I_rel	hkl
15.82	538	1 0 1
20.34	270	0 1 3
26.42	1000	1 1 0
31.22	571	1 0 6
35.00	307	1 1 5
41.35	263	0 2 6
46.64	210	3 0 0
49.74	306	2 1 6

=====

Record 5
CsK2AuSe2: computed X-ray powder pattern (λ = 1.5418 Å (Cu Kα)), based on a structure optimized by DFT (GGA-PBE).
Peak positions follow from Bragg's law for the DFT cell and can differ from measured ones.

Cell and atoms:
```
data_CsK2AuSe2
_symmetry_space_group_name_H-M 'I 4/m m m'
_symmetry_Int_Tables_number 139
_symmetry_space_group_name_Hall '-I 4 2'
_cell_length_a 5.5778
_cell_length_b 5.5778
_cell_length_c 16.3724
_cell_angle_alpha 90.00
_cell_angle_beta 90.00
_cell_angle_gamma 90.00
loop_
_atom_site_label
_atom_site_fract_x
_atom_site_fract_y
_atom_site_fract_z
Cs1 0.0000 0.0000 0.0000
K1 0.0000 0.5000 0.2500
Au1 0.0000 0.0000 0.5000
Se1 0.0000 0.0000 0.3512
```

Most intense lines, 2θ = 5–70°, low angle first:
2θ (°)	I_rel	hkl
10.81	444	0 0 2
16.79	496	1 0 1
22.54	792	1 1 0
25.06	1000	1 1 2
32.09	652	2 0 0
40.19	614	1 1 6
53.11	247	3 1 2
62.72	323	3 1 6

=====

Record 6
CsKTe2Au: computed X-ray powder pattern (λ = 1.5418 Å (Cu Kα)), based on a structure optimized by DFT (GGA-PBE).
Peak positions follow from Bragg's law for the DFT cell and can differ from measured ones.

Cell and atoms:
```
data_CsKTe2Au
_symmetry_space_group_name_H-M 'C m m e'
_symmetry_Int_Tables_number 67
_symmetry_space_group_name_Hall '-C 2a 2'
_cell_length_a 8.0354
_cell_length_b 17.5424
_cell_length_c 6.3207
_cell_angle_alpha 90.00
_cell_angle_beta 90.00
_cell_angle_gamma 90.00
loop_
_atom_site_label
_atom_site_fract_x
_atom_site_fract_y
_atom_site_fract_z
Cs1 0.0000 0.2500 0.2195
K1 0.2500 0.0000 0.0000
Te1 0.0000 0.1275 0.7067
Au1 0.0000 0.0000 0.5000
```

Most intense lines, 2θ = 5–70°, low angle first:
2θ (°)	I_rel	hkl
14.01	360	0 0 1
17.29	369	0 2 1
22.13	978	2 0 0
23.50	1000	1 3 1
26.28	356	2 0 1
28.22	533	2 2 1
30.06	430	0 2 2
31.21	555	1 5 1

=====

Record 7
CsLaAuSe2: computed X-ray powder pattern (λ = 1.5418 Å (Cu Kα)), based on a structure optimized by DFT (GGA-PBE).
Peak positions follow from Bragg's law for the DFT cell and can differ from measured ones.

Cell and atoms:
```
data_CsLaAuSe2
_symmetry_space_group_name_H-M 'P 1 2/c 1'
_symmetry_Int_Tables_number 13
_symmetry_space_group_name_Hall '-P 2yc'
_cell_length_a 8.4410
_cell_length_b 5.1469
_cell_length_c 8.5764
_cell_angle_alpha 90.00
_cell_angle_beta 99.05
_cell_angle_gamma 90.00
loop_
_atom_site_label
_atom_site_fract_x
_atom_site_fract_y
_atom_site_fract_z
Cs1 0.0000 0.1422 0.2500
La1 0.5000 0.4924 0.7500
Au1 0.5000 0.0000 0.0000
Se1 0.2702 0.3450 0.9666
```

Most intense lines, 2θ = 5–70°, low angle first:
2θ (°)	I_rel	hkl
10.61	1000	1 0 0
21.32	413	2 0 0
23.63	400	1 1 1
27.54	336	2 1 0
28.07	606	1 1 -2
30.55	700	1 1 2
32.69	315	2 1 -2
39.94	401	3 1 -2

=====

Record 8
Cs7LiAu5O2: computed X-ray powder pattern (λ = 1.5418 Å (Cu Kα)), based on a structure optimized by DFT (GGA-PBE).
Peak positions follow from Bragg's law for the DFT cell and can differ from measured ones.

Cell and atoms:
```
data_Cs7LiAu5O2
_symmetry_space_group_name_H-M 'C 1 m 1'
_symmetry_Int_Tables_number 8
_symmetry_space_group_name_Hall 'C -2y'
_cell_length_a 22.0734
_cell_length_b 9.9400
_cell_length_c 5.7964
_cell_angle_alpha 90.00
_cell_angle_beta 104.17
_cell_angle_gamma 90.00
loop_
_atom_site_label
_atom_site_fract_x
_atom_site_fract_y
_atom_site_fract_z
Cs1 0.0000 0.0000 0.0000
Cs2 0.0094 0.2926 0.5085
Cs3 0.1476 0.2745 0.1370
Cs4 0.3553 0.2473 0.8675
Li1 0.2288 0.0000 0.6933
Au1 0.1110 0.0000 0.6043
Au2 0.1741 0.5000 0.6636
Au3 0.2612 0.0000 0.2210
Au4 0.3877 0.5000 0.3936
Au5 0.4909 0.0000 0.9912
O1 0.4912 0.2058 0.9914
```

Most intense lines, 2θ = 5–70°, low angle first:
2θ (°)	I_rel	hkl
8.26	238	2 0 0
22.62	442	5 1 0
26.60	843	2 2 1
26.86	1000	4 2 -1
30.86	648	2 0 -2
31.42	240	4 2 1
36.15	309	0 4 0
48.24	263	2 4 -2

=====

Record 9
Cs7LiAu5O2: computed X-ray powder pattern (λ = 1.5418 Å (Cu Kα)), based on a structure optimized by DFT (GGA-PBE).
Peak positions follow from Bragg's law for the DFT cell and can differ from measured ones.

Cell and atoms:
```
data_Cs7LiAu5O2
_symmetry_space_group_name_H-M 'P 1'
_symmetry_Int_Tables_number 1
_symmetry_space_group_name_Hall 'P 1'
_cell_length_a 6.2133
_cell_length_b 9.8104
_cell_length_c 10.7812
_cell_angle_alpha 73.25
_cell_angle_beta 77.36
_cell_angle_gamma 89.02
loop_
_atom_site_label
_atom_site_fract_x
_atom_site_fract_y
_atom_site_fract_z
Cs1 0.0000 0.0000 0.0000
Cs2 0.0677 0.5528 0.9751
Cs3 0.1796 0.3741 0.6779
Cs4 0.2970 0.7806 0.3716
Cs5 0.4849 0.3247 0.2416
Cs6 0.6106 0.0611 0.7160
Cs7 0.6826 0.6609 0.6637
Li1 0.0956 0.1194 0.5309
Au1 0.1533 0.8638 0.6889
Au2 0.5329 0.7364 0.0279
Au3 0.5949 0.3080 0.9109
Au4 0.9137 0.3632 0.4151
Au5 0.9237 0.0859 0.3435
O1 0.1316 0.0692 0.7020
O2 0.1785 0.6627 0.6745
```

Most intense lines, 2θ = 5–70°, low angle first:
2θ (°)	I_rel	hkl
22.39	424	0 1 -2
24.57	577	1 2 0
25.84	660	1 -2 1
26.57	644	0 0 3
28.03	661	-1 2 2
28.83	851	2 0 1
29.06	1000	1 2 3
30.80	334	0 1 -3

=====

Record 10
Cs7LiAu5O2: computed X-ray powder pattern (λ = 1.5418 Å (Cu Kα)), based on a structure optimized by DFT (GGA-PBE).
Peak positions follow from Bragg's law for the DFT cell and can differ from measured ones.

Cell and atoms:
```
data_Cs7LiAu5O2
_symmetry_space_group_name_H-M 'C 1 m 1'
_symmetry_Int_Tables_number 8
_symmetry_space_group_name_Hall 'C -2y'
_cell_length_a 18.4947
_cell_length_b 9.9765
_cell_length_c 6.2128
_cell_angle_alpha 90.00
_cell_angle_beta 104.20
_cell_angle_gamma 90.00
loop_
_atom_site_label
_atom_site_fract_x
_atom_site_fract_y
_atom_site_fract_z
Cs1 0.0000 0.0000 0.0000
Cs2 0.0089 0.2708 0.4986
Cs3 0.1623 0.2920 0.1239
Cs4 0.3258 0.2456 0.7691
Li1 0.3849 0.0000 0.1653
Au1 0.1558 0.0000 0.5429
Au2 0.1749 0.5000 0.6305
Au3 0.2746 0.0000 0.3205
Au4 0.3555 0.5000 0.3441
Au5 0.4887 0.0000 0.9830
O1 0.4896 0.2045 0.9852
```

Most intense lines, 2θ = 5–70°, low angle first:
2θ (°)	I_rel	hkl
26.64	1000	2 2 1
28.13	765	4 2 -1
28.87	410	2 0 -2
29.90	287	6 0 0
36.01	243	0 4 0
46.79	173	2 4 -2
47.49	143	6 4 0
48.90	141	0 2 3

=====

Record 11
CsNa5Au3: computed X-ray powder pattern (λ = 1.5418 Å (Cu Kα)), based on a structure optimized by DFT (GGA-PBE).
Peak positions follow from Bragg's law for the DFT cell and can differ from measured ones.

Cell and atoms:
```
data_CsNa5Au3
_symmetry_space_group_name_H-M 'C m c m'
_symmetry_Int_Tables_number 63
_symmetry_space_group_name_Hall '-C 2c 2'
_cell_length_a 5.0189
_cell_length_b 14.7295
_cell_length_c 15.5132
_cell_angle_alpha 90.00
_cell_angle_beta 90.00
_cell_angle_gamma 90.00
loop_
_atom_site_label
_atom_site_fract_x
_atom_site_fract_y
_atom_site_fract_z
Cs1 0.0000 0.1492 0.2500
Na1 0.0000 0.0000 0.0000
Na2 0.0000 0.2065 0.5640
Na3 0.0000 0.4282 0.1495
Au1 0.0000 0.1300 0.7500
Au2 0.0000 0.4047 0.5387
```

Most intense lines, 2θ = 5–70°, low angle first:
2θ (°)	I_rel	hkl
21.94	1000	1 1 2
22.93	313	0 0 4
24.17	301	0 4 0
27.90	348	1 3 2
34.51	213	1 1 5
35.78	260	2 0 0
37.24	341	1 5 2
38.74	250	1 3 5

=====

Record 12
CsNa6Au2: computed X-ray powder pattern (λ = 1.5418 Å (Cu Kα)), based on a structure optimized by DFT (GGA-PBE).
Peak positions follow from Bragg's law for the DFT cell and can differ from measured ones.

Cell and atoms:
```
data_CsNa6Au2
_symmetry_space_group_name_H-M 'P 4/m m m'
_symmetry_Int_Tables_number 123
_symmetry_space_group_name_Hall '-P 4 2'
_cell_length_a 5.0966
_cell_length_b 5.0966
_cell_length_c 11.6531
_cell_angle_alpha 90.00
_cell_angle_beta 90.00
_cell_angle_gamma 90.00
loop_
_atom_site_label
_atom_site_fract_x
_atom_site_fract_y
_atom_site_fract_z
Cs1 0.0000 0.0000 0.0000
Na1 0.0000 0.0000 0.5000
Na2 0.0000 0.5000 0.2704
Na3 0.5000 0.5000 0.5000
Au1 0.5000 0.5000 0.1221
```

Most intense lines, 2θ = 5–70°, low angle first:
2θ (°)	I_rel	hkl
7.59	1000	0 0 1
17.40	190	1 0 0
24.70	280	1 1 0
25.88	316	1 1 1
28.90	261	1 0 3
35.22	228	2 0 0
35.49	271	1 0 4
50.86	196	2 1 4